1.
Structure and theoretical powder diffractogram of FeRuCl2 (the PBE geometry in Alexandria; Cu Kα X-rays).
Intensities are scaled so that the largest is 100.

Structural model:
abc: 3.2516 3.2516 25.7511
angles: 90.00 90.00 120.00
Space group R3m (No. 160, hexagonal axes)
Asymmetric unit:
1 Fe 0.0000 0.0000 0.0000
2 Ru 0.0000 0.0000 0.7295
3 Cl 0.0000 0.0000 0.2720
4 Cl 0.0000 0.0000 0.4616

Most intense lines, 2θ = 10–90°, sorted by position:
h k l	d_spacing	two_theta	Rel. int.
0 0 3	8.584	10.3	100
1 0 4	2.580	34.8	49
1 0 7	2.236	40.3	26
0 1 8	2.119	42.7	13
0 1 11	1.800	50.7	19
0 0 15	1.717	53.4	5
1 1 0	1.626	56.6	14
1 1 3	1.597	57.7	7
0 2 4	1.375	68.2	6
1 1 15	1.180	81.5	8



2.
Structure and theoretical powder diffractogram of Np2MnSeS4 (the PBE geometry in Alexandria; Cu Kα X-rays).
Intensities are scaled so that the largest is 100.

Structural model:
abc: 11.5505 3.7540 8.9175
angles: 90.00 116.99 90.00
Space group C2/m (No. 12)
Asymmetric unit:
1 Np 0.1725 0.0000 0.2470
2 Mn 0.0000 0.0000 0.5000
3 Se 0.0000 0.5000 0.0000
4 S 0.1150 0.5000 0.4332
5 S 0.1700 0.0000 0.7802

Most intense lines, 2θ = 10–90°, sorted by position:
h k l	d_spacing	two_theta	Rel. int.
2 0 -1	5.643	15.7	100
2 0 -2	4.199	21.2	60
0 0 2	3.973	22.4	42
2 0 1	3.632	24.5	35
1 1 -1	3.427	26.0	31
1 1 1	3.052	29.3	63
2 0 2	2.622	34.2	30
3 1 -2	2.559	35.1	74
3 1 0	2.533	35.4	60
1 1 -3	2.296	39.2	53



3.
Structure and theoretical powder diffractogram of La3CeInRh (the PBE geometry in Alexandria; Cu Kα X-rays).
Intensities are scaled so that the largest is 100.

Structural model:
abc: 5.9576 7.4248 15.8210
angles: 90.00 90.00 90.00
Space group Immm (No. 71)
Asymmetric unit:
1 La 0.0000 0.0000 0.1847
2 La 0.0000 0.2389 0.3792
3 Ce 0.0000 0.3122 0.0000
4 In 0.0000 0.5000 0.1944
5 Rh 0.2473 0.5000 0.5000

Most intense lines, 2θ = 10–90°, sorted by position:
h k l	d_spacing	two_theta	Rel. int.
1 2 1	3.090	28.9	17
2 0 0	2.979	30.0	34
1 0 5	2.794	32.0	67
1 2 3	2.705	33.1	100
0 3 1	2.447	36.7	18
2 2 2	2.229	40.5	32
3 0 5	1.682	54.6	15
3 2 3	1.662	55.3	19
1 4 5	1.546	59.8	16
2 2 8	1.506	61.6	28



4.
Structure and theoretical powder diffractogram of CaAc6Tm (the PBE geometry in Alexandria; Cu Kα X-rays).
Intensities are scaled so that the largest is 100.

Structural model:
abc: 5.5317 5.5317 11.0630
angles: 90.00 90.00 90.00
Space group P4/mmm (No. 123)
Asymmetric unit:
1 Ca 0.0000 0.0000 0.0000
2 Ac 0.0000 0.5000 0.2571
3 Ac 0.5000 0.5000 0.0000
4 Ac 0.5000 0.5000 0.5000
5 Tm 0.0000 0.0000 0.5000

Most intense lines, 2θ = 10–90°, sorted by position:
h k l	d_spacing	two_theta	Rel. int.
1 0 0	5.532	16.0	6
1 1 2	3.194	27.9	100
2 0 0	2.766	32.4	51
2 2 0	1.956	46.4	38
3 1 2	1.668	55.1	46
2 2 4	1.597	57.7	13
4 0 0	1.383	67.8	6
3 3 2	1.269	74.8	19
4 2 0	1.237	77.1	17
4 2 4	1.129	86.1	13



5.
Structure and theoretical powder diffractogram of TaAlTl2 (the PBE geometry in Alexandria; Cu Kα X-rays).
Intensities are scaled so that the largest is 100.

Structural model:
abc: 3.2139 3.2139 29.8023
angles: 90.00 90.00 120.00
Space group R3m (No. 160, hexagonal axes)
Asymmetric unit:
1 Ta 0.0000 0.0000 0.0000
2 Al 0.0000 0.0000 0.7358
3 Tl 0.0000 0.0000 0.2499
4 Tl 0.0000 0.0000 0.4874

Most intense lines, 2θ = 10–90°, sorted by position:
h k l	d_spacing	two_theta	Rel. int.
0 0 9	3.311	26.9	17
1 0 4	2.607	34.4	100
0 1 5	2.522	35.6	16
0 0 12	2.484	36.2	24
0 1 8	2.230	40.5	60
1 0 13	1.770	51.7	12
1 1 0	1.607	57.3	24
1 0 16	1.548	59.7	14
0 2 4	1.368	68.6	15
1 1 12	1.349	69.7	22



6.
Structure and theoretical powder diffractogram of DyIn3Pd (the PBE geometry in Alexandria; Cu Kα X-rays).
Intensities are scaled so that the largest is 100.

Structural model:
abc: 4.5296 7.3545 7.1839
angles: 90.00 90.00 90.00
Space group Pmmn (No. 59, origin choice 2)
Asymmetric unit:
1 Dy 0.2500 0.2500 0.2482
2 In 0.2500 0.0468 0.8125
3 In 0.2500 0.7500 0.4367
4 Pd 0.2500 0.7500 0.0549

Most intense lines, 2θ = 10–90°, sorted by position:
h k l	d_spacing	two_theta	Rel. int.
0 2 0	3.677	24.2	12
1 2 1	2.653	33.8	100
1 1 2	2.629	34.1	76
0 1 3	2.277	39.6	20
2 0 0	2.265	39.8	34
0 3 3	1.713	53.5	14
2 1 3	1.606	57.4	14
1 0 5	1.370	68.5	20
2 3 3	1.367	68.7	23
1 5 2	1.304	72.5	14



7.
Structure and theoretical powder diffractogram of Pr4UIr4 (the PBE geometry in Alexandria; Cu Kα X-rays).
Intensities are scaled so that the largest is 100.

Structural model:
abc: 8.7435 8.7435 6.1074
angles: 90.00 90.00 90.00
Space group P4_2/n (No. 86, origin choice 2)
Asymmetric unit:
1 Pr 0.0545 0.6730 0.1363
2 U 0.2500 0.2500 0.2500
3 Ir 0.0007 0.6297 0.6331

Most intense lines, 2θ = 10–90°, sorted by position:
h k l	d_spacing	two_theta	Rel. int.
1 0 1	5.007	17.7	41
1 2 1	3.293	27.1	15
1 0 2	2.883	31.0	43
1 3 0	2.765	32.4	100
1 2 2	2.407	37.4	58
2 3 1	2.254	40.0	23
4 2 0	1.955	46.4	27
3 2 2	1.899	47.9	31
4 1 2	1.742	52.5	13
3 1 4	1.337	70.4	16



8.
Structure and theoretical powder diffractogram of PuThOs2 (the PBE geometry in Alexandria; Cu Kα X-rays).
Intensities are scaled so that the largest is 100.

Structural model:
abc: 7.9279 5.8270 7.5689
angles: 90.00 90.11 90.00
Space group P2_1/c (No. 14)
Asymmetric unit:
1 Pu 0.1228 0.1530 0.1739
2 Th 0.3725 0.6499 0.3249
3 Os 0.1062 0.6673 0.0574
4 Os 0.3567 0.1489 0.4446

Most intense lines, 2θ = 10–90°, sorted by position:
h k l	d_spacing	two_theta	Rel. int.
2 1 -1	3.008	29.7	19
2 0 -2	2.737	32.7	100
0 2 1	2.719	32.9	67
2 1 2	2.477	36.3	82
0 1 3	2.315	38.9	22
2 2 -1	2.242	40.2	79
4 0 0	1.982	45.8	34
0 1 4	1.800	50.7	35
4 2 1	1.602	57.5	27
0 3 3	1.539	60.1	18



9.
Structure and theoretical powder diffractogram of Tb3NdSm2P6 (the PBE geometry in Alexandria; Cu Kα X-rays).
Intensities are scaled so that the largest is 100.

Structural model:
abc: 7.0644 12.2335 7.0632
angles: 90.00 109.45 90.00
Space group C2/m (No. 12)
Asymmetric unit:
1 Tb 0.0000 0.0000 0.0000
2 Tb 0.0000 0.3336 0.0000
3 Nd 0.0000 0.5000 0.5000
4 Sm 0.0000 0.1667 0.5000
5 P 0.2471 0.1676 0.2440
6 P 0.2501 0.0000 0.7559

Most intense lines, 2θ = 10–90°, sorted by position:
h k l	d_spacing	two_theta	Rel. int.
2 0 0	3.330	26.8	84
1 3 1	2.884	31.0	100
2 0 2	2.039	44.4	73
1 3 3	1.739	52.6	41
4 0 0	1.665	55.2	26
2 6 2	1.442	64.6	12
2 0 4	1.323	71.3	17
4 6 0	1.290	73.4	33
5 3 1	1.177	81.8	25
0 0 6	1.110	88.0	13



10.
Structure and theoretical powder diffractogram of YTaP2Cl (the PBE geometry in Alexandria; Cu Kα X-rays).
Intensities are scaled so that the largest is 100.

Structural model:
abc: 4.8975 4.8975 4.6384
angles: 90.00 90.00 90.00
Space group P4/mmm (No. 123)
Asymmetric unit:
1 Y 0.0000 0.0000 0.0000
2 Ta 0.5000 0.5000 0.5000
3 P 0.0000 0.5000 0.5000
4 Cl 0.5000 0.5000 0.0000

Most intense lines, 2θ = 10–90°, sorted by position:
h k l	d_spacing	two_theta	Rel. int.
1 0 0	4.897	18.1	35
1 1 0	3.463	25.7	59
1 0 1	3.368	26.5	100
2 0 0	2.449	36.7	53
0 0 2	2.319	38.8	22
2 1 1	1.981	45.8	47
1 1 2	1.927	47.2	23
2 2 0	1.732	52.9	18
2 0 2	1.684	54.5	33
2 2 2	1.387	67.5	17



11.
Structure and theoretical powder diffractogram of La3Ga2Ag (the PBE geometry in Alexandria; Cu Kα X-rays).
Intensities are scaled so that the largest is 100.

Structural model:
abc: 5.3551 5.3551 13.2319
angles: 90.00 90.00 120.00
Space group P-3m1 (No. 164)
Asymmetric unit:
1 La 0.0000 0.0000 0.2453
2 La 0.3333 0.6667 0.4144
3 La 0.3333 0.6667 0.9194
4 Ga 0.0000 0.0000 0.0000
5 Ga 0.0000 0.0000 0.5000
6 Ga 0.3333 0.6667 0.1685
7 Ag 0.3333 0.6667 0.6690

Most intense lines, 2θ = 10–90°, sorted by position:
h k l	d_spacing	two_theta	Rel. int.
0 1 2	3.798	23.4	12
1 0 4	2.693	33.3	100
1 1 0	2.678	33.5	99
0 2 4	1.899	47.9	35
0 1 8	1.558	59.3	18
2 1 4	1.549	59.7	36
3 0 0	1.546	59.8	18
2 2 0	1.339	70.3	11
1 2 8	1.203	79.7	15
1 3 4	1.199	80.0	15



12.
Structure and theoretical powder diffractogram of MgNb5O9 (the PBE geometry in Alexandria; Cu Kα X-rays).
Intensities are scaled so that the largest is 100.

Structural model:
abc: 5.4098 5.4098 7.6698
angles: 90.00 90.00 120.00
Space group P-3m1 (No. 164)
Asymmetric unit:
1 Mg 0.0000 0.0000 0.0000
2 Nb 0.0000 0.0000 0.5000
3 Nb 0.3333 0.6667 0.0324
4 Nb 0.3333 0.6667 0.6599
5 O 0.0000 0.5000 0.5000
6 O 0.1720 0.3439 0.8473

Most intense lines, 2θ = 10–90°, sorted by position:
h k l	d_spacing	two_theta	Rel. int.
0 1 1	3.998	22.2	69
0 0 2	3.835	23.2	22
0 1 2	2.968	30.1	47
1 1 0	2.705	33.1	100
1 0 3	2.243	40.2	55
1 1 2	2.210	40.8	24
2 0 2	1.999	45.4	41
1 1 3	1.858	49.0	32
0 2 3	1.726	53.0	28
2 1 5	1.159	83.4	22



13.
Structure and theoretical powder diffractogram of Ir6OsRh3 (the PBE geometry in Alexandria; Cu Kα X-rays).
Intensities are scaled so that the largest is 100.

Structural model:
abc: 10.0288 2.7260 10.9204
angles: 90.00 101.32 90.00
Space group P2_1/m (No. 11)
Asymmetric unit:
1 Ir 0.0020 0.2500 0.3075
2 Ir 0.1558 0.2500 0.8722
3 Ir 0.2376 0.7500 0.3011
4 Ir 0.2796 0.7500 0.7128
5 Ir 0.3077 0.7500 0.0751
6 Ir 0.3824 0.2500 0.5169
7 Os 0.4586 0.2500 0.2783
8 Rh 0.0814 0.2500 0.0955
9 Rh 0.1221 0.7500 0.5018
10 Rh 0.4285 0.2500 0.8991

Most intense lines, 2θ = 10–90°, sorted by position:
h k l	d_spacing	two_theta	Rel. int.
2 1 1	2.282	39.5	81
4 0 -3	2.240	40.3	100
1 1 -3	2.169	41.6	75
0 0 5	2.142	42.2	70
3 1 0	2.096	43.2	51
4 0 2	2.084	43.4	62
2 1 -4	1.871	48.7	58
3 1 5	1.412	66.2	26
0 2 0	1.363	68.9	22
4 2 -3	1.164	82.9	26